Theoretical PXRD pattern of Dy8Cu2Au for CuKα, from DFT lattice parameters and positions (PBE).
Neutral-atom scattering factors, no anomalous dispersion.

Atomic structure:
Lattice parameters (Å, degrees): 9.1555 9.1555 6.7848 106.12 106.12 32.16
Atoms (fractional coordinates):
Dy 0.0320 0.0320 0.2798
Dy 0.2007 0.2007 0.8355
Dy 0.3278 0.3278 0.5136
Dy 0.4070 0.4070 0.0385
Dy 0.5930 0.5930 0.9615
Dy 0.6722 0.6722 0.4864
Dy 0.7993 0.7993 0.1645
Dy 0.9680 0.9680 0.7202
Cu 0.1817 0.1817 0.2259
Cu 0.8183 0.8183 0.7741
Au 0.5000 0.5000 0.5000

Most intense lines, 10° ≤ 2θ ≤ 90°, sorted by position:
2θ = 29.65°, I 31; 2θ = 31.54°, I 74; 2θ = 31.86°, I 100; 2θ = 34.48°, I 36; 2θ = 35.39°, I 61; 2θ = 36.95°, I 20; 2θ = 61.79°, I 17; 2θ = 68.67°, I 24